Diffraction record for LiVO2F2. The X-ray diffraction stick pattern is theoretical, not measured: it uses the PBE+U geometry in Alexandria and Cu Kα (λ = 1.5418 Å).

Structural model:
```
LiVO2F2
1.0
9.6146 0.0000 0.0000
0.0000 5.3014 0.0000
0.0000 0.0000 6.1412
Li V O F
4 4 8 8
Cartesian
2.1610 0.5032 0.0000
2.6463 0.5032 3.0706
6.9683 4.7982 0.0000
7.4536 4.7982 3.0706
0.7130 3.2506 4.4140
4.0943 3.2506 1.3434
5.5203 2.0508 4.4140
8.9015 2.0508 1.3434
0.1521 2.4084 2.7770
1.9947 4.2617 4.6902
2.8126 4.2617 1.6196
4.6552 2.4084 5.8476
4.9594 2.8930 2.7770
6.8020 1.0397 4.6902
7.6199 1.0397 1.6196
9.4625 2.8930 5.8476
0.4244 0.6833 0.7621
1.8042 1.6640 4.4989
3.0031 1.6640 1.4284
4.3829 0.6833 3.8327
5.2317 4.6181 0.7621
6.6115 3.6373 4.4989
7.8104 3.6373 1.4284
9.1902 4.6181 3.8327
```

Main lines, low angle first (10° ≤ 2θ ≤ 90°):
d [Å], 2theta, Rel. int., h k l
5.301, 16.72, 525, 0 1 0
4.807, 18.46, 247, 2 0 0
3.785, 23.50, 895, 2 0 1
3.703, 24.03, 864, 1 1 1
3.561, 25.00, 243, 2 1 0
3.076, 29.03, 1000, 0 0 2
2.359, 38.14, 131, 1 2 1
2.322, 38.78, 127, 2 2 0
2.062, 43.91, 192, 4 1 1
2.043, 44.33, 300, 3 2 0
1.883, 48.32, 163, 2 0 3
1.701, 53.91, 269, 3 2 2